The following is a calculated X-ray diffraction stick pattern of Ni5Pd3O12. It was derived from a crystal structure in Alexandria, relaxed with GGA+U, using Cu Ka.
Neutral-atom scattering factors, no anomalous dispersion.

Principal peaks in the range 2θ = 10–80°, low angle first:
| (hkl) | two_theta | intensity |
| --- | --- | --- |
| 1 1 0 | 19.8 | 41 |
| 2 1 0 | 30.4 | 11 |
| 3 0 0 | 34.6 | 96 |
| 1 1 1 | 35.9 | 100 |
| 2 1 1 | 43.0 | 13 |
| 2 2 1 | 50.7 | 57 |
| 0 0 2 | 61.6 | 12 |
| 3 3 0 | 62.0 | 19 |
| 4 1 1 | 62.8 | 42 |
| 3 0 2 | 72.6 | 21 |

Structural model:
Lattice parameters (Å, degrees): 8.9870 8.9870 3.0133 90.00 90.00 120.00
Space group P-62m (No. 189)
Inequivalent atoms, fractional coordinates:
Ni 0.0000 0.3332 0.0000 x3
Ni 0.3333 0.6667 0.0000 x2
Pd 0.0000 0.6896 0.5000 x3
O 0.0000 0.5487 0.0000 x3
O 0.0000 0.8331 0.0000 x3
O 0.1893 0.4492 0.5000 x6